Structure and theoretical powder diffractogram of AgTe (a structure optimized by DFT (GGA-PBE); Cu Kα, 1.54184 Å).

Main lines, in order of rising 2θ (10 to 80 degrees two-theta):
d [Å]  I_rel  hkl
3.887  33  3 0 1
3.357  37  4 2 0
3.234  32  4 1 1
2.740  100  4 2 1
2.348  25  6 2 1
2.240  22  3 0 2
2.234  39  0 4 0
2.168  24  7 2 1
2.083  23  1 2 2
2.036  16  10 0 0

Structure:
abc: 20.359 8.934 4.743
angles: 90.00 90.00 90.00
Element x y z (fractional)
Ag1 0.052 0.250 0.180
Ag2 0.069 0.015 0.637
Ag3 0.069 0.485 0.637
Ag4 0.156 0.750 0.749
Ag5 0.344 0.250 0.249
Ag6 0.431 0.515 0.137
Ag7 0.431 0.985 0.137
Ag8 0.448 0.750 0.680
Ag9 0.552 0.250 0.320
Ag10 0.569 0.015 0.863
Ag11 0.569 0.485 0.863
Ag12 0.656 0.750 0.751
Ag13 0.844 0.250 0.251
Ag14 0.931 0.515 0.363
Ag15 0.931 0.985 0.363
Ag16 0.948 0.750 0.820
Te1 0.031 0.750 0.329
Te2 0.157 0.023 0.096
Te3 0.157 0.477 0.096
Te4 0.241 0.250 0.847
Te5 0.259 0.750 0.347
Te6 0.343 0.523 0.596
Te7 0.343 0.977 0.596
Te8 0.469 0.250 0.829
Te9 0.531 0.750 0.171
Te10 0.657 0.023 0.404
Te11 0.657 0.477 0.404
Te12 0.741 0.250 0.653
Te13 0.759 0.750 0.153
Te14 0.843 0.523 0.904
Te15 0.843 0.977 0.904
Te16 0.969 0.250 0.671